1.
Starting from the GGA-PBE geometry in Alexandria, the X-ray diffraction stick pattern of Sr2CaCu2Bi2IO8 was calculated for Cu Kα, 1.54184 Å.

Principal peaks in the range 10 to 80 degrees two-theta, low angle first:
| 2theta | intensity |
| --- | --- |
| 27.4 | 100.0 |
| 27.9 | 17.7 |
| 30.1 | 26.6 |
| 32.5 | 31.0 |
| 33.3 | 23.2 |
| 34.5 | 29.8 |
| 48.1 | 27.0 |
| 49.1 | 21.5 |

Structure:
Cell: 5.1992 19.1745 5.5100 Å, 90.00 90.00 90.00°
Space group Pmna (No. 53)
Symmetry-distinct sites (fractional):
Sr  0.0000  0.1816  0.0069 [4 per cell]
Ca  0.0000  0.0000  0.0000 [2 per cell]
Cu  0.0000  0.0835  0.5005 [4 per cell]
Bi  0.0000  0.3297  0.5310 [4 per cell]
I  0.0000  0.5000  0.0000 [2 per cell]
O  0.0000  0.2226  0.4670 [4 per cell]
O  0.0000  0.3148  0.9144 [4 per cell]
O  0.2500  0.0814  0.2500 [4 per cell]
O  0.2500  0.0855  0.7500 [4 per cell]

=====

2.
Starting from the GGA-PBE geometry in Alexandria, the X-ray diffraction stick pattern of Sr2CaCu2Bi2O8 was calculated for Cu Kα, 1.54184 Å.

Principal peaks in the range 10 to 80 degrees two-theta, low angle first:
| 2theta | intensity |
| --- | --- |
| 22.2 | 26.2 |
| 24.5 | 30.4 |
| 27.0 | 100.0 |
| 30.3 | 32.2 |
| 32.6 | 32.6 |
| 33.1 | 35.5 |
| 47.1 | 30.0 |
| 48.7 | 20.0 |

Structure:
Cell: 5.4867 32.0554 5.4182 Å, 90.00 90.00 90.00°
Space group Ccc2 (No. 37)
Symmetry-distinct sites (fractional):
Sr  0.2450  0.1461  0.0000 [8 per cell]
Ca  0.2500  0.2500  0.9997 [4 per cell]
Cu  0.2493  0.2981  0.4999 [8 per cell]
Bi  0.2282  0.4463  0.4671 [8 per cell]
O  0.9996  0.3010  0.2502 [8 per cell]
O  0.0006  0.2005  0.2492 [8 per cell]
O  0.1535  0.4440  0.0708 [8 per cell]
O  0.2236  0.1166  0.5037 [8 per cell]

=====

3.
Starting from the GGA-PBE geometry in Alexandria, the X-ray diffraction stick pattern of SrCaCuBiO6 was calculated for Cu Kα, 1.54184 Å.

Principal peaks in the range 10 to 80 degrees two-theta, low angle first:
| 2theta | intensity |
| --- | --- |
| 19.0 | 29.0 |
| 21.9 | 27.4 |
| 31.2 | 100.0 |
| 36.7 | 20.1 |
| 44.7 | 32.9 |
| 55.5 | 39.8 |
| 65.0 | 19.9 |
| 73.9 | 17.5 |

Structure:
Cell: 8.1111 8.1111 8.1111 Å, 90.00 90.00 90.00°
Space group F-43m (No. 216)
Symmetry-distinct sites (fractional):
Sr  0.0000  0.0000  0.0000 [4 per cell]
Ca  0.0000  0.0000  0.5000 [4 per cell]
Cu  0.2500  0.2500  0.7500 [4 per cell]
Bi  0.2500  0.2500  0.2500 [4 per cell]
O  0.0103  0.2500  0.7500 [24 per cell]